Diffraction record for SmHo3Pb2. The powder X-ray diffraction pattern is simulated, not measured: it uses a crystal structure in Alexandria, relaxed with PBE and Cu Ka.
Neutral-atom scattering factors, no anomalous dispersion.

Crystal structure
```
SmHo3Pb2
1.0
-3.742 7.293 3.734
3.742 -7.293 3.734
3.742 7.293 -3.734
Sm Ho Pb
2 6 4
Direct
0.000 0.000 0.000
0.500 0.500 0.000
0.040 0.250 0.790
0.250 0.750 0.500
0.460 0.250 0.210
0.540 0.750 0.790
0.750 0.250 0.500
0.960 0.750 0.210
0.143 0.680 0.823
0.357 0.180 0.537
0.643 0.820 0.463
0.857 0.320 0.177
```

Most intense lines, 2θ = 15–90°, sorted by position:
two_theta  I (rel.)
20.75  77.9
27.36  23.7
32.52  100.0
33.92  32.3
34.35  72.0
40.65  19.5
44.11  25.4
48.78  18.0
61.01  18.0
63.26  32.0